Li2MgTcH6: theoretical X-ray diffraction stick pattern (Cu Ka), based on a DFT-relaxed cell (PBE, OQMD).
Peak positions follow from Bragg's law for the DFT cell and can differ from measured ones.

Peak list (8 most intense, 2θ from 5° to 70°, by angle)
Position (°2θ)	I (rel.)
21.8	752
25.2	1000
35.9	969
42.4	378
44.4	234
51.7	189
58.4	353
64.6	342

Cell and atoms:
abc: 5.000 5.000 5.000
angles: 60.00 60.00 60.00
Fractional positions:
Li1 0.250 0.250 0.250
Li2 0.750 0.750 0.750
Mg1 0.000 0.000 0.000
Tc1 0.500 0.500 0.500
H1 0.257 0.257 0.743
H2 0.257 0.743 0.257
H3 0.257 0.743 0.743
H4 0.743 0.257 0.257
H5 0.743 0.257 0.743
H6 0.743 0.743 0.257